# 1
# TbCeYSe3
Computed powder diffractogram, Cu Kα. Input: a PBE-relaxed structure.
Neutral-atom scattering factors, no anomalous dispersion.

Structure:
```
data_TbCeYSe3
_chemical_formula_sum 'Tb2 Ce2 Y2 Se6'
_symmetry_space_group_name_H-M 'P 1 21/m 1'
_symmetry_Int_Tables_number 11
_symmetry_space_group_name_Hall '-P 2yb'
_cell_length_a 7.961
_cell_length_b 4.078
_cell_length_c 10.278
_cell_angle_alpha 90.00
_cell_angle_beta 102.65
_cell_angle_gamma 90.00
loop_
_atom_site_label
_atom_site_fract_x
_atom_site_fract_y
_atom_site_fract_z
_atom_site_occupancy
Tb1 0.168 0.250 0.090 1
Ce1 0.314 0.750 0.791 1
Y1 0.328 0.750 0.380 1
Se1 0.023 0.250 0.806 1
Se2 0.295 0.250 0.563 1
Se3 0.416 0.750 0.113 1
```

Largest 8 diffraction maxima, sorted by position, 2θ from 10° to 90°:
two_theta  Rel. int.  (hkl)
26.64  58  1 0 -3
28.21  54  0 1 2
31.65  100  2 1 -1
31.82  100  2 1 0
34.66  62  1 1 -3
38.49  48  1 1 3
39.13  59  2 1 2
44.43  70  0 2 0

---

# 2
# Ce2Te2Se
Computed powder diffractogram, Cu Kα. Input: a PBE-relaxed structure.
Neutral-atom scattering factors, no anomalous dispersion.

Structure:
```
data_Ce2Te2Se
_chemical_formula_sum 'Ce8 Te8 Se4'
_symmetry_space_group_name_H-M 'C m c 21'
_symmetry_Int_Tables_number 36
_symmetry_space_group_name_Hall 'C 2c -2'
_cell_length_a 4.503
_cell_length_b 18.009
_cell_length_c 8.173
_cell_angle_alpha 90.00
_cell_angle_beta 90.00
_cell_angle_gamma 90.00
loop_
_atom_site_label
_atom_site_fract_x
_atom_site_fract_y
_atom_site_fract_z
_atom_site_occupancy
Ce1 0.000 0.052 0.000 1
Ce2 0.000 0.316 0.942 1
Te1 0.000 0.305 0.538 1
Te2 0.000 0.449 0.199 1
Se1 0.000 0.098 0.346 1
```

Largest 8 diffraction maxima, sorted by position, 2θ from 10° to 90°:
two_theta  Rel. int.  (hkl)
24.72  46  1 3 0
27.05  75  1 3 1
31.80  65  1 5 0
33.15  100  1 3 2
33.70  33  1 5 1
34.39  37  0 2 3
38.91  47  1 5 2
40.05  74  2 0 0

---

# 3
# Ce5Te2Se2
Computed powder diffractogram, Cu Kα. Input: a PBE-relaxed structure.
Neutral-atom scattering factors, no anomalous dispersion.

Structure:
```
data_Ce5Te2Se2
_chemical_formula_sum 'Ce20 Te8 Se8'
_symmetry_space_group_name_H-M 'C m c e'
_symmetry_Int_Tables_number 64
_symmetry_space_group_name_Hall '-C 2ac 2'
_cell_length_a 15.602
_cell_length_b 8.010
_cell_length_c 7.957
_cell_angle_alpha 90.00
_cell_angle_beta 90.00
_cell_angle_gamma 90.00
loop_
_atom_site_label
_atom_site_fract_x
_atom_site_fract_y
_atom_site_fract_z
_atom_site_occupancy
Ce1 0.000 0.000 0.000 1
Ce2 0.125 0.156 0.344 1
Te1 0.203 0.000 0.000 1
Se1 0.000 0.147 0.646 1
```

Largest 8 diffraction maxima, sorted by position, 2θ from 10° to 90°:
two_theta  Rel. int.  (hkl)
24.89  35  0 2 1
30.41  81  3 1 2
31.70  46  0 2 2
32.79  73  5 1 1
34.01  100  4 2 1
35.94  76  1 3 1
36.13  74  1 1 3
38.34  43  5 1 2

---

Please write out number 1 again, unchanged.
# TbCeYSe3
Computed powder diffractogram, Cu Kα. Input: a PBE-relaxed structure.
Neutral-atom scattering factors, no anomalous dispersion.

Structure:
```
data_TbCeYSe3
_chemical_formula_sum 'Tb2 Ce2 Y2 Se6'
_symmetry_space_group_name_H-M 'P 1 21/m 1'
_symmetry_Int_Tables_number 11
_symmetry_space_group_name_Hall '-P 2yb'
_cell_length_a 7.961
_cell_length_b 4.078
_cell_length_c 10.278
_cell_angle_alpha 90.00
_cell_angle_beta 102.65
_cell_angle_gamma 90.00
loop_
_atom_site_label
_atom_site_fract_x
_atom_site_fract_y
_atom_site_fract_z
_atom_site_occupancy
Tb1 0.168 0.250 0.090 1
Ce1 0.314 0.750 0.791 1
Y1 0.328 0.750 0.380 1
Se1 0.023 0.250 0.806 1
Se2 0.295 0.250 0.563 1
Se3 0.416 0.750 0.113 1
```

Largest 8 diffraction maxima, sorted by position, 2θ from 10° to 90°:
two_theta  Rel. int.  (hkl)
26.64  58  1 0 -3
28.21  54  0 1 2
31.65  100  2 1 -1
31.82  100  2 1 0
34.66  62  1 1 -3
38.49  48  1 1 3
39.13  59  2 1 2
44.43  70  0 2 0